No. 1
The following is a simulated powder X-ray diffraction pattern of RbPrI3. It was derived from a DFT-relaxed cell (GGA-PBE, OQMD), using Cu Kα X-rays.
Intensities are scaled so that the largest is 100.

Atomic structure:
```
RbPrI3
1.0
4.462 0.000 0.000
0.000 10.516 0.000
0.000 0.000 18.261
Rb Pr I
4 4 12
Direct
0.000 0.179 0.175
0.000 0.679 0.325
0.500 0.321 0.825
0.500 0.821 0.675
0.001 0.880 0.955
0.499 0.120 0.455
0.501 0.620 0.045
0.999 0.380 0.545
0.001 0.028 0.800
0.002 0.415 0.993
0.002 0.799 0.126
0.498 0.201 0.626
0.498 0.585 0.493
0.499 0.972 0.300
0.501 0.472 0.200
0.502 0.085 0.007
0.502 0.701 0.874
0.998 0.299 0.374
0.998 0.915 0.507
0.999 0.528 0.700
```

Most intense lines, 2θ from 10° to 90°, low angle first:
2θ 25.84, 3.448 Å, I 66; 2θ 26.18, 3.404 Å, I 83; 2θ 26.65, 3.345 Å, I 71; 2θ 27.99, 3.188 Å, I 100; 2θ 31.66, 2.826 Å, I 40; 2θ 32.20, 2.780 Å, I 27; 2θ 32.85, 2.727 Å, I 26; 2θ 40.43, 2.231 Å, I 37; 2θ 41.01, 2.201 Å, I 29; 2θ 48.60, 1.873 Å, I 23

---

No. 2
The following is a simulated powder X-ray diffraction pattern of ErTmMg6. It was derived from a DFT-relaxed cell (GGA-PBE, OQMD), using Cu Kα X-rays.
Intensities are scaled so that the largest is 100.

Atomic structure:
```
ErTmMg6
1.0
5.156 0.000 0.000
0.000 7.254 0.000
0.000 0.000 5.157
Er Tm Mg
1 1 6
Direct
0.000 0.000 0.000
0.500 0.500 0.490
0.000 0.250 0.500
0.000 0.500 0.999
0.000 0.750 0.500
0.500 0.000 0.491
0.500 0.250 0.990
0.500 0.750 0.990
```

Most intense lines, 2θ from 10° to 90°, low angle first:
2θ 21.14, 4.203 Å, I 77; 2θ 24.41, 3.646 Å, I 27; 2θ 24.54, 3.627 Å, I 14; 2θ 34.86, 2.574 Å, I 100; 2θ 41.07, 2.198 Å, I 28; 2θ 41.24, 2.189 Å, I 14; 2θ 43.04, 2.101 Å, I 12; 2θ 55.03, 1.669 Å, I 12; 2θ 62.45, 1.487 Å, I 24; 2θ 62.63, 1.483 Å, I 12

---

No. 3
The following is a simulated powder X-ray diffraction pattern of Sc2Co3W4N3. It was derived from a DFT-relaxed cell (GGA-PBE, OQMD), using Cu Kα X-rays.
Intensities are scaled so that the largest is 100.

Atomic structure:
```
Sc2Co3W4N3
1.0
4.495 -2.595 0.000
4.495 2.595 0.000
-2.998 0.000 12.902
Sc Co W N
4 6 8 6
Direct
0.041 0.876 0.625
0.124 0.959 0.875
0.876 0.041 0.125
0.959 0.124 0.375
0.085 0.403 0.750
0.403 0.085 0.250
0.427 0.573 0.250
0.573 0.427 0.750
0.597 0.915 0.750
0.915 0.597 0.250
0.194 0.362 0.090
0.303 0.474 0.410
0.362 0.194 0.590
0.474 0.303 0.910
0.526 0.697 0.090
0.638 0.806 0.410
0.697 0.526 0.590
0.806 0.638 0.910
0.000 0.500 0.500
0.152 0.695 0.000
0.305 0.848 0.500
0.500 0.000 0.000
0.695 0.152 0.500
0.848 0.305 0.000
```

Most intense lines, 2θ from 10° to 90°, low angle first:
2θ 13.73, 6.451 Å, I 12; 2θ 19.89, 4.465 Å, I 26; 2θ 20.28, 4.378 Å, I 18; 2θ 34.56, 2.595 Å, I 17; 2θ 35.28, 2.544 Å, I 29; 2θ 40.60, 2.222 Å, I 100; 2θ 42.02, 2.150 Å, I 20; 2θ 44.83, 2.022 Å, I 15; 2θ 61.93, 1.498 Å, I 16; 2θ 69.13, 1.359 Å, I 12

---

No. 4
The following is a simulated powder X-ray diffraction pattern of PrTmH2O4. It was derived from a DFT-relaxed cell (GGA-PBE, OQMD), using Cu Kα X-rays.
Intensities are scaled so that the largest is 100.

Atomic structure:
```
PrTmH2O4
1.0
4.327 0.000 0.000
0.000 3.661 0.000
-1.983 0.000 5.749
Pr Tm H O
1 1 2 4
Direct
0.000 0.000 0.000
0.671 0.500 0.385
0.306 0.500 0.735
0.333 0.000 0.571
0.083 0.500 0.739
0.111 0.500 0.260
0.570 0.000 0.617
0.579 0.000 0.161
```

Most intense lines, 2θ from 10° to 90°, low angle first:
2θ 15.41, 5.749 Å, I 34; 2θ 22.19, 4.006 Å, I 45; 2θ 28.91, 3.088 Å, I 100; 2θ 30.68, 2.914 Å, I 50; 2θ 31.68, 2.824 Å, I 32; 2θ 32.83, 2.728 Å, I 35; 2θ 33.15, 2.703 Å, I 51; 2θ 39.87, 2.261 Å, I 32; 2θ 50.91, 1.794 Å, I 30; 2θ 52.03, 1.758 Å, I 50

---

No. 5
The following is a simulated powder X-ray diffraction pattern of NdGdCBr. It was derived from a DFT-relaxed cell (GGA-PBE, OQMD), using Cu Kα X-rays.
Intensities are scaled so that the largest is 100.

Atomic structure:
```
NdGdCBr
1.0
3.762 0.000 0.000
-1.881 3.258 0.000
0.000 0.000 14.650
Nd Gd C Br
2 2 2 2
Direct
0.333 0.667 0.406
0.667 0.333 0.594
0.333 0.667 0.089
0.667 0.333 0.911
0.000 0.000 0.000
0.000 0.000 0.500
0.333 0.667 0.759
0.667 0.333 0.241
```

Most intense lines, 2θ from 10° to 90°, low angle first:
2θ 27.37, 3.258 Å, I 25; 2θ 28.06, 3.180 Å, I 7; 2θ 33.05, 2.710 Å, I 100; 2θ 36.81, 2.442 Å, I 14; 2θ 46.48, 1.954 Å, I 13; 2θ 48.39, 1.881 Å, I 25; 2θ 59.85, 1.545 Å, I 18; 2θ 62.31, 1.490 Å, I 20; 2θ 63.93, 1.456 Å, I 12; 2θ 80.43, 1.194 Å, I 15

---

No. 6
The following is a simulated powder X-ray diffraction pattern of BaNaTmSe3. It was derived from a DFT-relaxed cell (GGA-PBE, OQMD), using Cu Kα X-rays.
Intensities are scaled so that the largest is 100.

Atomic structure:
```
BaNaTmSe3
1.0
10.776 0.000 0.000
0.000 4.377 0.000
0.000 0.000 14.258
Ba Na Tm Se
4 4 4 12
Direct
0.250 0.250 0.003
0.250 0.750 0.503
0.750 0.250 0.497
0.750 0.750 0.997
0.248 0.250 0.278
0.252 0.750 0.778
0.748 0.250 0.222
0.752 0.750 0.722
0.002 0.250 0.750
0.498 0.750 0.250
0.502 0.250 0.750
0.998 0.750 0.250
0.041 0.250 0.383
0.045 0.750 0.883
0.248 0.750 0.173
0.252 0.250 0.673
0.455 0.250 0.383
0.459 0.750 0.883
0.541 0.250 0.117
0.545 0.750 0.617
0.748 0.750 0.327
0.752 0.250 0.827
0.955 0.250 0.117
0.959 0.750 0.617
```

Most intense lines, 2θ from 10° to 90°, low angle first:
2θ 20.66, 4.298 Å, I 86; 2θ 27.71, 3.220 Å, I 77; 2θ 28.94, 3.085 Å, I 100; 2θ 32.39, 2.764 Å, I 96; 2θ 32.86, 2.725 Å, I 36; 2θ 33.26, 2.694 Å, I 64; 2θ 41.25, 2.188 Å, I 49; 2θ 41.34, 2.184 Å, I 65; 2θ 41.54, 2.174 Å, I 50; 2θ 59.98, 1.542 Å, I 34

---

No. 7
The following is a simulated powder X-ray diffraction pattern of Li2Sc2GaNi2Ge. It was derived from a DFT-relaxed cell (GGA-PBE, OQMD), using Cu Kα X-rays.
Intensities are scaled so that the largest is 100.

Atomic structure:
```
Li2Sc2GaNi2Ge
1.0
4.305 0.000 0.000
0.000 4.305 0.000
0.000 0.000 6.099
Li Sc Ga Ni Ge
2 2 1 2 1
Direct
0.000 0.500 0.250
0.500 0.000 0.750
0.000 0.000 0.500
0.500 0.500 0.000
0.000 0.000 0.000
0.000 0.500 0.749
0.500 0.000 0.251
0.500 0.500 0.500
```

Most intense lines, 2θ from 10° to 90°, low angle first:
2θ 25.32, 3.517 Å, I 33; 2θ 29.32, 3.046 Å, I 9; 2θ 41.95, 2.154 Å, I 100; 2θ 49.64, 1.837 Å, I 15; 2θ 52.00, 1.758 Å, I 2; 2θ 60.75, 1.525 Å, I 5; 2θ 60.87, 1.522 Å, I 10; 2θ 66.96, 1.397 Å, I 6; 2θ 76.63, 1.243 Å, I 30; 2θ 82.27, 1.172 Å, I 3

---

No. 8
The following is a simulated powder X-ray diffraction pattern of Hg2TeO4. It was derived from a DFT-relaxed cell (GGA-PBE, OQMD), using Cu Kα X-rays.
Intensities are scaled so that the largest is 100.

Atomic structure:
```
Hg2TeO4
1.0
4.262 -5.588 0.000
4.262 5.588 0.000
-1.758 0.000 4.695
Hg Te O
4 2 8
Direct
0.005 0.237 0.498
0.237 0.005 0.998
0.763 0.995 0.002
0.995 0.763 0.502
0.410 0.590 0.250
0.590 0.410 0.750
0.144 0.535 0.289
0.318 0.418 0.847
0.418 0.318 0.347
0.465 0.856 0.211
0.535 0.144 0.789
0.582 0.682 0.653
0.682 0.582 0.153
0.856 0.465 0.711
```

Most intense lines, 2θ from 10° to 90°, low angle first:
2θ 26.40, 3.375 Å, I 43; 2θ 28.61, 3.120 Å, I 100; 2θ 32.03, 2.794 Å, I 29; 2θ 34.65, 2.589 Å, I 16; 2θ 34.96, 2.566 Å, I 22; 2θ 36.81, 2.442 Å, I 18; 2θ 37.91, 2.373 Å, I 17; 2θ 44.63, 2.030 Å, I 19; 2θ 48.41, 1.880 Å, I 14; 2θ 55.05, 1.668 Å, I 19

---

No. 9
The following is a simulated powder X-ray diffraction pattern of Re10W3. It was derived from a DFT-relaxed cell (GGA-PBE, OQMD), using Cu Kα X-rays.
Intensities are scaled so that the largest is 100.

Atomic structure:
```
Re10W3
1.0
2.540 1.466 9.096
-2.540 1.466 9.096
0.000 -2.933 9.096
Re W
10 3
Direct
0.083 0.591 0.591
0.151 0.151 0.151
0.334 0.334 0.334
0.409 0.409 0.917
0.409 0.917 0.409
0.591 0.083 0.591
0.591 0.591 0.083
0.666 0.666 0.666
0.849 0.849 0.849
0.917 0.409 0.409
0.046 0.046 0.046
0.500 0.500 0.500
0.954 0.954 0.954
```

Most intense lines, 2θ from 10° to 90°, low angle first:
2θ 35.34, 2.540 Å, I 46; 2θ 38.84, 2.319 Å, I 44; 2θ 39.63, 2.274 Å, I 26; 2θ 40.69, 2.218 Å, I 100; 2θ 41.17, 2.193 Å, I 47; 2θ 41.80, 2.161 Å, I 56; 2θ 44.40, 2.040 Å, I 53; 2θ 47.46, 1.916 Å, I 24; 2θ 67.86, 1.381 Å, I 28; 2θ 74.75, 1.270 Å, I 36

---

No. 10
The following is a simulated powder X-ray diffraction pattern of Li3HfO4. It was derived from a DFT-relaxed cell (GGA-PBE, OQMD), using Cu Kα X-rays.
Intensities are scaled so that the largest is 100.

Atomic structure:
```
Li3HfO4
1.0
5.120 0.000 0.000
0.000 12.047 0.000
-1.675 0.000 4.966
Li Hf O
12 4 16
Direct
0.000 0.000 0.000
0.000 0.108 0.500
0.000 0.640 0.500
0.000 0.880 0.500
0.500 0.115 0.000
0.500 0.225 0.500
0.500 0.373 0.000
0.500 0.525 0.500
0.500 0.637 0.000
0.500 0.762 0.500
0.500 0.885 0.000
0.500 0.997 0.500
0.000 0.228 0.000
0.000 0.373 0.500
0.000 0.511 0.000
0.000 0.769 0.000
0.228 0.376 0.237
0.236 0.497 0.746
0.237 0.253 0.749
0.237 0.632 0.230
0.246 0.761 0.756
0.246 0.994 0.753
0.248 0.880 0.251
0.251 0.122 0.242
0.749 0.122 0.758
0.752 0.880 0.749
0.754 0.761 0.244
0.754 0.994 0.247
0.763 0.253 0.251
0.763 0.632 0.770
0.764 0.497 0.254
0.772 0.376 0.763
```

Most intense lines, 2θ from 10° to 90°, low angle first:
2θ 17.86, 4.966 Å, I 27; 2θ 18.29, 4.851 Å, I 100; 2θ 19.73, 4.500 Å, I 26; 2θ 28.59, 3.123 Å, I 27; 2θ 30.78, 2.905 Å, I 23; 2θ 34.87, 2.573 Å, I 52; 2θ 37.25, 2.414 Å, I 18; 2θ 42.37, 2.133 Å, I 54; 2θ 43.00, 2.103 Å, I 24; 2θ 61.36, 1.511 Å, I 25

---

No. 11
The following is a simulated powder X-ray diffraction pattern of RbPrSO. It was derived from a DFT-relaxed cell (GGA-PBE, OQMD), using Cu Kα X-rays.
Intensities are scaled so that the largest is 100.

Atomic structure:
```
RbPrSO
1.0
5.959 0.000 0.000
0.000 5.954 0.000
-2.925 0.000 11.455
Rb Pr S O
4 4 4 4
Direct
0.047 0.000 0.102
0.453 0.000 0.897
0.547 0.500 0.103
0.953 0.500 0.898
0.050 0.260 0.600
0.450 0.260 0.400
0.550 0.760 0.600
0.950 0.760 0.400
0.098 0.500 0.213
0.401 0.500 0.788
0.599 0.000 0.212
0.902 0.000 0.787
0.250 0.011 0.500
0.250 0.512 0.500
0.750 0.012 0.500
0.750 0.511 0.500
```

Most intense lines, 2θ from 10° to 90°, low angle first:
2θ 24.13, 3.688 Å, I 79; 2θ 28.80, 3.100 Å, I 100; 2θ 31.03, 2.882 Å, I 87; 2θ 31.23, 2.864 Å, I 16; 2θ 34.65, 2.588 Å, I 27; 2θ 34.77, 2.580 Å, I 23; 2θ 42.95, 2.106 Å, I 44; 2θ 50.25, 1.816 Å, I 17; 2θ 52.47, 1.744 Å, I 20; 2θ 52.59, 1.740 Å, I 16

---

No. 12
The following is a simulated powder X-ray diffraction pattern of Lu2AuO4. It was derived from a DFT-relaxed cell (GGA-PBE, OQMD), using Cu Kα X-rays.
Intensities are scaled so that the largest is 100.

Atomic structure:
```
Lu2AuO4
1.0
0.000 4.687 4.687
4.687 0.000 4.687
4.687 4.687 0.000
Lu Au O
4 2 8
Direct
0.000 0.000 0.000
0.000 0.000 0.500
0.000 0.500 0.000
0.500 0.000 0.000
0.375 0.375 0.375
0.625 0.625 0.625
0.203 0.766 0.766
0.234 0.234 0.234
0.234 0.234 0.797
0.234 0.797 0.234
0.766 0.203 0.766
0.766 0.766 0.203
0.766 0.766 0.766
0.797 0.234 0.234
```

Most intense lines, 2θ from 10° to 90°, low angle first:
2θ 26.90, 3.314 Å, I 32; 2θ 31.66, 2.826 Å, I 100; 2θ 33.11, 2.706 Å, I 25; 2θ 47.52, 1.913 Å, I 13; 2θ 50.60, 1.804 Å, I 39; 2θ 55.45, 1.657 Å, I 38; 2θ 65.27, 1.429 Å, I 13; 2θ 66.12, 1.413 Å, I 12; 2θ 75.97, 1.253 Å, I 7; 2θ 78.35, 1.220 Å, I 23